For HoH4Pd, DFT lattice parameters and positions (GGA-PBE) gives the calculated XRD peak list in this record (Cu Kα).
Intensities are scaled so that the largest is 100.

Structural model:
Lattice parameters (Å, degrees): 3.694 6.637 5.051 90.00 90.00 90.00
Fractional coordinates of all 12 atoms:
Ho  0.250  0.250  0.108
Ho  0.750  0.750  0.892
H  0.250  0.250  0.629
H  0.250  0.584  0.076
H  0.250  0.750  0.691
H  0.250  0.916  0.076
H  0.750  0.084  0.924
H  0.750  0.250  0.309
H  0.750  0.416  0.924
H  0.750  0.750  0.371
Pd  0.250  0.750  0.358
Pd  0.750  0.250  0.642

The 6 most intense peaks (2θ = 10–80°), low angle first:
d (Å), 2θ (°), intensity
3.318, 26.87, 85
2.982, 29.97, 59
2.720, 32.93, 100
2.360, 38.13, 63
2.218, 40.68, 51
1.777, 51.43, 29

For HoH6Pd2Rh, DFT lattice parameters and positions (GGA-PBE) gives the calculated XRD peak list in this record (Cu Kα).
Intensities are scaled so that the largest is 100.

Structural model:
Lattice parameters (Å, degrees): 4.626 8.745 4.518 90.00 90.00 90.00
Fractional coordinates of all 20 atoms:
Ho  0.000  0.000  0.000
Ho  0.500  0.500  0.500
H  0.157  0.362  0.239
H  0.157  0.362  0.761
H  0.172  0.087  0.500
H  0.328  0.587  0.000
H  0.343  0.862  0.261
H  0.343  0.862  0.739
H  0.657  0.138  0.261
H  0.657  0.138  0.739
H  0.672  0.413  0.000
H  0.828  0.913  0.500
H  0.843  0.638  0.239
H  0.843  0.638  0.761
Pd  0.061  0.746  0.500
Pd  0.439  0.246  0.000
Pd  0.561  0.754  0.000
Pd  0.939  0.254  0.500
Rh  0.000  0.500  0.000
Rh  0.500  0.000  0.500

The 6 most intense peaks (2θ = 10–80°), low angle first:
d (Å), 2θ (°), intensity
2.599, 34.51, 100
2.313, 38.93, 14
2.259, 39.91, 18
2.186, 41.29, 16
1.361, 69.01, 13
1.329, 70.93, 12

For PrHoH8Rh2, DFT lattice parameters and positions (GGA-PBE) gives the calculated XRD peak list in this record (Cu Kα).
Intensities are scaled so that the largest is 100.

Structural model:
Lattice parameters (Å, degrees): 6.584 6.584 6.584 43.84 43.84 43.84
Fractional coordinates of all 12 atoms:
Pr  0.000  0.000  0.000
Ho  0.500  0.500  0.500
H  0.063  0.864  0.394
H  0.136  0.606  0.937
H  0.320  0.320  0.320
H  0.394  0.063  0.864
H  0.606  0.937  0.136
H  0.680  0.680  0.680
H  0.864  0.394  0.063
H  0.937  0.136  0.606
Rh  0.230  0.230  0.230
Rh  0.770  0.770  0.770

The 6 most intense peaks (2θ = 10–80°), low angle first:
d (Å), 2θ (°), intensity
3.078, 29.01, 100
2.458, 36.56, 61
1.974, 45.98, 20
1.921, 47.33, 26
1.514, 61.24, 27
1.305, 72.45, 11

For Pr4Ho2Tl3H2, DFT lattice parameters and positions (GGA-PBE) gives the calculated XRD peak list in this record (Cu Kα).
Intensities are scaled so that the largest is 100.

Structural model:
Lattice parameters (Å, degrees): 13.175 13.175 13.175 158.80 158.80 30.16
Fractional coordinates of all 11 atoms:
Pr  0.088  0.588  0.500
Pr  0.412  0.912  0.500
Pr  0.588  0.088  0.500
Pr  0.912  0.412  0.500
Ho  0.201  0.201  0.000
Ho  0.799  0.799  0.000
Tl  0.322  0.322  0.000
Tl  0.500  0.500  0.000
Tl  0.678  0.678  0.000
H  0.110  0.110  0.000
H  0.890  0.890  0.000

The 6 most intense peaks (2θ = 10–80°), low angle first:
d (Å), 2θ (°), intensity
4.762, 18.63, 21
3.310, 26.94, 39
3.017, 29.61, 28
2.666, 33.62, 100
2.424, 37.09, 58
1.442, 64.65, 40

For HoH6Pt2Rh, DFT lattice parameters and positions (GGA-PBE) gives the calculated XRD peak list in this record (Cu Kα).
Intensities are scaled so that the largest is 100.

Structural model:
Lattice parameters (Å, degrees): 4.804 4.805 5.104 113.79 114.71 97.17
Fractional coordinates of all 10 atoms:
Ho  0.000  0.000  0.000
H  0.093  0.560  0.654
H  0.099  0.072  0.578
H  0.453  0.791  0.245
H  0.507  0.478  0.579
H  0.546  0.175  0.072
H  0.896  0.527  0.075
Pt  0.275  0.734  0.485
Pt  0.751  0.211  0.485
Rh  0.481  0.444  0.926

The 6 most intense peaks (2θ = 10–80°), low angle first:
d (Å), 2θ (°), intensity
2.694, 33.26, 61
2.661, 33.69, 61
2.488, 36.09, 100
2.383, 37.75, 89
2.000, 45.34, 25
1.454, 64.05, 19

For HoH11Rh5, DFT lattice parameters and positions (GGA-PBE) gives the calculated XRD peak list in this record (Cu Kα).
Intensities are scaled so that the largest is 100.

Structural model:
Lattice parameters (Å, degrees): 5.326 5.326 5.385 103.21 103.21 93.74
Fractional coordinates of all 17 atoms:
Ho  0.000  0.000  0.000
H  0.000  0.000  0.500
H  0.156  0.666  0.647
H  0.182  0.449  0.063
H  0.306  0.306  0.684
H  0.334  0.844  0.353
H  0.449  0.182  0.063
H  0.551  0.818  0.937
H  0.666  0.156  0.647
H  0.694  0.694  0.316
H  0.818  0.551  0.937
H  0.844  0.334  0.353
Rh  0.023  0.628  0.291
Rh  0.372  0.977  0.709
Rh  0.500  0.500  0.000
Rh  0.628  0.023  0.291
Rh  0.977  0.372  0.709

The 6 most intense peaks (2θ = 10–80°), low angle first:
d (Å), 2θ (°), intensity
3.086, 28.93, 47
2.571, 34.90, 100
2.483, 36.17, 44
2.474, 36.32, 42
2.295, 39.25, 26
2.125, 42.55, 41

For HoH6Ru2, DFT lattice parameters and positions (GGA-PBE) gives the calculated XRD peak list in this record (Cu Kα).
Intensities are scaled so that the largest is 100.

Structural model:
Lattice parameters (Å, degrees): 4.170 4.170 4.951 105.08 105.08 93.24
Fractional coordinates of all 9 atoms:
Ho  0.000  0.000  0.000
H  0.121  0.512  0.726
H  0.417  0.417  0.298
H  0.488  0.879  0.274
H  0.512  0.121  0.726
H  0.583  0.583  0.702
H  0.879  0.488  0.274
Ru  0.252  0.748  0.500
Ru  0.748  0.252  0.500

The 6 most intense peaks (2θ = 10–80°), low angle first:
d (Å), 2θ (°), intensity
3.990, 22.28, 58
3.552, 25.07, 50
2.652, 33.79, 80
2.528, 35.51, 100
2.290, 39.34, 51
2.056, 44.04, 53

For HoH8Ru2, DFT lattice parameters and positions (GGA-PBE) gives the calculated XRD peak list in this record (Cu Kα).
Intensities are scaled so that the largest is 100.

Structural model:
Lattice parameters (Å, degrees): 5.024 5.024 3.525 90.00 90.00 115.31
Fractional coordinates of all 11 atoms:
Ho  0.000  0.000  0.000
H  0.040  0.318  0.500
H  0.281  0.719  0.000
H  0.318  0.040  0.500
H  0.500  0.500  0.240
H  0.500  0.500  0.760
H  0.682  0.960  0.500
H  0.719  0.281  0.000
H  0.960  0.682  0.500
Ru  0.322  0.678  0.500
Ru  0.678  0.322  0.500

The 6 most intense peaks (2θ = 10–80°), low angle first:
d (Å), 2θ (°), intensity
2.785, 32.15, 100
2.712, 33.03, 61
2.688, 33.34, 50
2.504, 35.87, 77
1.909, 47.64, 44
1.441, 64.68, 28